# La5Sm2ErTm
Computed powder XRD pattern, a wavelength of 1.5418 Å. Input: DFT lattice parameters and positions (PBE).

Principal peaks in the range 10° ≤ 2θ ≤ 90°, in order of rising 2θ:
hkl 2 1 3, 2θ 27.88, 3.200 Å, I 37.2
hkl 2 0 4, 2θ 28.95, 3.084 Å, I 100.0
hkl 2 2 0, 2θ 29.92, 2.987 Å, I 47.7
hkl 3 1 2, 2θ 35.03, 2.562 Å, I 11.0
hkl 2 0 6, 2θ 36.66, 2.451 Å, I 15.8
hkl 3 2 1, 2θ 38.76, 2.323 Å, I 10.1
hkl 0 0 8, 2θ 39.94, 2.257 Å, I 15.5
hkl 4 0 2, 2θ 44.03, 2.056 Å, I 12.5
hkl 2 2 8, 2θ 50.69, 1.801 Å, I 15.1
hkl 4 2 4, 2θ 52.52, 1.743 Å, I 30.0

a b c (Å): 8.4476 8.4476 18.0583
angles (deg): 90.00 90.00 90.00
Space group I4/mcm (No. 140)
Unique sites:
La1 0.0000 0.0000 0.0000 (multiplicity 4)
La2 0.2214 0.2786 0.1419 (multiplicity 16)
Sm1 0.1264 0.3736 0.5000 (multiplicity 8)
Er1 0.0000 0.0000 0.2500 (multiplicity 4)
Tm1 0.0000 0.5000 0.2500 (multiplicity 4)